1.
This entry pairs a crystal structure of TeF4 with its simulated X-ray powder pattern. Radiation: Cu Kα (weighted mean of Kα1 and Kα2). Structure: a structure optimized by DFT (GGA-PBE).
Neutral-atom scattering factors, no anomalous dispersion.

Principal peaks in the range 15° ≤ 2θ ≤ 90°, in order of falling intensity:
2θ (°), d_spacing, I_rel, (hkl)
21.40, 4.152, 100, 1 1 0
23.05, 3.858, 86, 0 1 2
24.13, 3.688, 68, 1 0 2
18.29, 4.850, 24, 1 0 1
37.83, 2.378, 23, 1 2 2
23.25, 3.825, 20, 1 1 1
44.61, 2.031, 20, 2 2 1
36.50, 2.462, 18, 0 0 4
52.18, 1.753, 18, 3 1 1
42.74, 2.115, 18, 1 1 4
45.11, 2.010, 17, 2 1 3
34.87, 2.573, 16, 1 1 3

```
data_TeF4
_space_group_name_H-M_alt 'P 21 21 21'
_space_group_IT_number 19
_cell_length_a 5.5755
_cell_length_b 6.2221
_cell_length_c 9.8337
_cell_angle_alpha 90.00
_cell_angle_beta 90.00
_cell_angle_gamma 90.00
loop_
_space_group_symop_operation_xyz
'x,y,z'
'-x+1/2,-y,z+1/2'
'x+1/2,-y+1/2,-z'
'-x,y+1/2,-z+1/2'
loop_
_atom_site_label
_atom_site_type_symbol
_atom_site_fract_x
_atom_site_fract_y
_atom_site_fract_z
Te1 Te 0.1543 0.0043 0.3753
F1 F 0.0623 0.7139 0.2500
F2 F 0.0852 0.1567 0.9561
F3 F 0.1406 0.9645 0.7247
F4 F 0.2007 0.7377 0.9458
```

***

2.
This entry pairs a crystal structure of Pr5Sn4 with its simulated X-ray powder pattern. Radiation: Cu Kα (weighted mean of Kα1 and Kα2). Structure: a structure optimized by DFT (GGA-PBE).
Neutral-atom scattering factors, no anomalous dispersion.

Principal peaks in the range 15° ≤ 2θ ≤ 90°, in order of falling intensity:
2θ (°), d_spacing, I_rel, (hkl)
28.72, 3.108, 100, 1 3 2
29.00, 3.079, 60, 2 3 1
30.44, 2.937, 60, 0 4 2
33.71, 2.659, 57, 1 1 3
32.56, 2.750, 53, 2 4 1
33.88, 2.646, 46, 3 0 1
29.93, 2.986, 36, 2 0 2
33.23, 2.696, 36, 0 6 0
31.45, 2.845, 30, 1 5 1
30.78, 2.905, 27, 2 4 0
51.15, 1.786, 20, 3 4 3
32.31, 2.771, 20, 1 4 2

```
data_Pr5Sn4
_space_group_name_H-M_alt 'P n m a'
_space_group_IT_number 62
_cell_length_a 8.3489
_cell_length_b 16.1789
_cell_length_c 8.5435
_cell_angle_alpha 90.00
_cell_angle_beta 90.00
_cell_angle_gamma 90.00
loop_
_space_group_symop_operation_xyz
'x,y,z'
'-x,-y,-z'
'-x+1/2,-y,z+1/2'
'x+1/2,y,-z+1/2'
'x+1/2,-y+1/2,-z+1/2'
'-x+1/2,y+1/2,z+1/2'
'-x,y+1/2,-z'
'x,-y+1/2,z'
loop_
_atom_site_label
_atom_site_type_symbol
_atom_site_fract_x
_atom_site_fract_y
_atom_site_fract_z
Pr1 Pr 0.0189 0.0995 0.1828
Pr2 Pr 0.1316 0.6198 0.3356
Pr3 Pr 0.1975 0.2500 0.5007
Sn1 Sn 0.0682 0.2500 0.8836
Sn2 Sn 0.1789 0.7500 0.6423
Sn3 Sn 0.2099 0.0429 0.5326
```

***

3.
This entry pairs a crystal structure of CaGa2N2 with its simulated X-ray powder pattern. Radiation: Cu Kα (weighted mean of Kα1 and Kα2). Structure: a structure optimized by DFT (GGA-PBE).
Neutral-atom scattering factors, no anomalous dispersion.

Principal peaks in the range 15° ≤ 2θ ≤ 90°, in order of falling intensity:
2θ (°), d_spacing, I_rel, (hkl)
31.35, 2.853, 100, 1 2 1
36.43, 2.466, 90, 0 4 0
15.64, 5.666, 50, 1 0 0
32.11, 2.788, 48, 1 0 -2
49.38, 1.846, 35, 1 4 -2
53.34, 1.718, 28, 0 2 3
27.04, 3.298, 16, 1 1 1
62.48, 1.486, 15, 1 6 1
41.95, 2.154, 11, 2 3 -1
65.60, 1.423, 10, 2 6 -1
50.17, 1.818, 9, 3 2 -1
24.26, 3.669, 9, 0 2 1

```
data_CaGa2N2
_space_group_name_H-M_alt 'P 1 21/c 1'
_space_group_IT_number 14
_cell_length_a 5.8866
_cell_length_b 9.8515
_cell_length_c 5.7115
_cell_angle_alpha 90.00
_cell_angle_beta 105.72
_cell_angle_gamma 90.00
loop_
_space_group_symop_operation_xyz
'x,y,z'
'-x,-y,-z'
'-x,y+1/2,-z+1/2'
'x,-y+1/2,z+1/2'
loop_
_atom_site_label
_atom_site_type_symbol
_atom_site_fract_x
_atom_site_fract_y
_atom_site_fract_z
Ca1 Ca 0.0561 0.1269 0.2330
Ga1 Ga 0.3278 0.6231 0.8928
Ga2 Ga 0.4197 0.1311 0.9446
N1 N 0.2823 0.5308 0.5603
N2 N 0.3543 0.1993 0.6025
```

***

4.
This entry pairs a crystal structure of LaCo2AsN with its simulated X-ray powder pattern. Radiation: Cu Kα (weighted mean of Kα1 and Kα2). Structure: a structure optimized by DFT (GGA-PBE).
Neutral-atom scattering factors, no anomalous dispersion.

Principal peaks in the range 15° ≤ 2θ ≤ 90°, in order of falling intensity:
2θ (°), d_spacing, I_rel, (hkl)
36.06, 2.491, 100, 1 1 2
36.45, 2.465, 70, 1 3 1
34.91, 2.570, 48, 0 4 1
34.01, 2.636, 43, 1 3 0
52.58, 1.741, 35, 0 0 4
48.28, 1.885, 31, 2 0 0
41.72, 2.165, 24, 0 4 2
46.71, 1.945, 18, 1 1 3
60.95, 1.520, 18, 2 4 1
65.42, 1.427, 18, 1 7 1
42.26, 2.139, 16, 0 2 3
63.10, 1.473, 15, 1 5 3

```
data_LaCo2AsN
_space_group_name_H-M_alt 'C m c m'
_space_group_IT_number 63
_space_group_name_Hall '-C 2c 2'
_cell_length_a 3.7703
_cell_length_b 11.0626
_cell_length_c 6.9575
_cell_angle_alpha 90.00
_cell_angle_beta 90.00
_cell_angle_gamma 90.00
loop_
_atom_site_label
_atom_site_type_symbol
_atom_site_fract_x
_atom_site_fract_y
_atom_site_fract_z
La1 La 0.0000 0.0433 0.2500
Co1 Co 0.0000 0.3363 0.0527
As1 As 0.0000 0.2302 0.7500
N1 N 0.0000 0.5000 0.0000
```